Rb2As2I7: theoretical X-ray powder pattern (λ = 1.5418 Å (Cu Kα)), based on a structure optimized by DFT (PBE).
Intensities are scaled so that the largest is 100.

Top 8 peaks for 15 to 90 degrees two-theta, by angle:
| d_spacing | Rel. int. | h k l |
| --- | --- | --- |
| 4.384 | 72 | 1 1 1 |
| 4.179 | 67 | 2 0 -1 |
| 3.934 | 100 | 1 3 -1 |
| 3.637 | 53 | 1 3 1 |
| 3.315 | 55 | 2 2 1 |
| 3.231 | 64 | 3 1 -1 |
| 3.072 | 74 | 0 6 0 |
| 1.923 | 52 | 3 7 1 |

Crystal structure
```
data_Rb2As2I7
_space_group_name_H-M_alt 'C 1 2/m 1'
_space_group_IT_number 12
_cell_length_a 11.1818
_cell_length_b 18.4301
_cell_length_c 5.3858
_cell_angle_alpha 90.00
_cell_angle_beta 99.26
_cell_angle_gamma 90.00
loop_
_space_group_symop_operation_xyz
'x,y,z'
'-x,-y,-z'
'-x,y,-z'
'x,-y,z'
'x+1/2,y+1/2,z'
'-x+1/2,-y+1/2,-z'
'-x+1/2,y+1/2,-z'
'x+1/2,-y+1/2,z'
loop_
_atom_site_label
_atom_site_type_symbol
_atom_site_fract_x
_atom_site_fract_y
_atom_site_fract_z
Rb1 Rb 0.0000 0.2136 0.0000
As1 As 0.2309 0.5000 0.3437
I1 I 0.0000 0.5000 0.5000
I2 I 0.1357 0.0000 0.2123
I3 I 0.2426 0.3440 0.3068
```